No. 1
Diffraction record for Tm3PuSe4. The PXRD pattern is computed, not measured: it uses a DFT-relaxed cell (PBE, OQMD) and copper Kα.
Neutral-atom scattering factors, no anomalous dispersion.

abc: 7.006 7.006 4.018
angles: 90.00 90.00 109.19
Fractional positions:
Tm  0.000  0.000  0.000
Tm  0.000  0.500  0.500
Tm  0.500  0.000  0.500
Pu  0.500  0.500  0.000
Se  0.243  0.243  0.500
Se  0.246  0.754  0.000
Se  0.754  0.246  0.000
Se  0.757  0.757  0.500

Peak list (8 most intense, 15° ≤ 2θ ≤ 90°, by angle)
2θ/deg, I/Imax
26.9, 15
27.1, 15
31.3, 100
44.6, 13
44.9, 50
55.5, 13
56.0, 13
74.3, 22

No. 2
Diffraction record for CuSi17Ge13P. The PXRD pattern is computed, not measured: it uses a DFT-relaxed cell (PBE, OQMD) and copper Kα.
Neutral-atom scattering factors, no anomalous dispersion.

abc: 5.534 3.945 31.451
angles: 90.00 90.01 90.00
Fractional positions:
Cu  0.000  0.000  0.000
Si  0.001  0.000  0.748
Si  0.002  0.000  0.502
Si  0.003  0.000  0.249
Si  0.015  0.000  0.625
Si  0.256  0.500  0.626
Si  0.264  0.500  0.126
Si  0.265  0.500  0.377
Si  0.510  0.500  0.686
Si  0.512  0.500  0.438
Si  0.514  0.500  0.187
Si  0.521  0.500  0.939
Si  0.752  0.000  0.441
Si  0.753  0.000  0.188
Si  0.754  0.000  0.685
Si  0.760  0.000  0.940
Si  0.766  0.000  0.810
Si  0.771  0.000  0.061
Ge  0.001  0.000  0.875
Ge  0.011  0.000  0.126
Ge  0.014  0.000  0.379
Ge  0.242  0.500  0.000
Ge  0.253  0.500  0.248
Ge  0.254  0.500  0.500
Ge  0.254  0.500  0.748
Ge  0.266  0.500  0.877
Ge  0.502  0.500  0.313
Ge  0.516  0.500  0.812
Ge  0.518  0.500  0.063
Ge  0.522  0.500  0.564
Ge  0.765  0.000  0.313
P  0.775  0.000  0.564

Peak list (8 most intense, 15° ≤ 2θ ≤ 90°, by angle)
2θ/deg, I/Imax
27.8, 100
46.0, 12
46.2, 59
54.6, 14
54.7, 14
55.0, 14
74.4, 8
85.4, 8

No. 3
Diffraction record for Dy3Er2Lu2Te2Ir2. The PXRD pattern is computed, not measured: it uses a DFT-relaxed cell (PBE, OQMD) and copper Kα.
Neutral-atom scattering factors, no anomalous dispersion.

abc: 9.336 9.336 9.336
angles: 155.77 65.89 119.77
Fractional positions:
Dy  0.000  0.000  0.000
Dy  0.056  0.372  0.684
Dy  0.688  0.372  0.316
Er  0.087  0.734  0.353
Er  0.381  0.734  0.647
Lu  0.450  0.583  0.867
Lu  0.715  0.583  0.133
Te  0.340  0.340  0.000
Te  0.732  0.232  0.500
Ir  0.312  0.072  0.240
Ir  0.832  0.072  0.760

Peak list (8 most intense, 15° ≤ 2θ ≤ 90°, by angle)
2θ/deg, I/Imax
30.3, 36
33.4, 44
33.7, 100
34.4, 47
36.8, 20
38.6, 24
46.3, 32
58.3, 18

No. 4
Diffraction record for PrCuAsP. The PXRD pattern is computed, not measured: it uses a DFT-relaxed cell (PBE, OQMD) and copper Kα.
Neutral-atom scattering factors, no anomalous dispersion.

abc: 3.893 3.893 10.142
angles: 90.00 90.00 90.00
Fractional positions:
Pr  0.250  0.250  0.245
Pr  0.750  0.750  0.755
Cu  0.250  0.750  0.500
Cu  0.750  0.250  0.500
As  0.250  0.750  0.000
As  0.750  0.250  0.000
P  0.250  0.250  0.641
P  0.750  0.750  0.359

Peak list (8 most intense, 15° ≤ 2θ ≤ 90°, by angle)
2θ/deg, I/Imax
24.5, 47
35.2, 32
35.4, 22
37.2, 100
46.7, 30
59.9, 19
64.7, 16
80.2, 20